1.
This entry pairs a crystal structure of PrW5O15 with its theoretical PXRD pattern. Radiation: copper Kα. Structure: the GGA+U geometry in the Materials Project.

Peak list (8 most intense, 2θ = 5–70°, sorted by position)
2θ = 23.1°, d = 3.847 Å, I = 78, (1 0 0)
2θ = 25.4°, d = 3.506 Å, I = 68, (0 2 1)
2θ = 26.1°, d = 3.414 Å, I = 100, (0 0 3)
2θ = 27.5°, d = 3.243 Å, I = 28, (1 1 1)
2θ = 29.6°, d = 3.015 Å, I = 75, (0 2 2)
2θ = 33.5°, d = 2.678 Å, I = 35, (1 2 0)
2θ = 42.9°, d = 2.108 Å, I = 32, (1 2 3)
2θ = 50.9°, d = 1.795 Å, I = 31, (0 2 5)

Crystal structure
a = 3.847 Å, b = 7.462 Å, c = 10.239 Å
α = 90.00°, β = 90.00°, γ = 90.00°
Sites, in units of the cell vectors:
Pr (0.000, 0.000, 0.000)
W (0.500, 0.246, 0.316)
W (0.500, 0.246, 0.684)
W (0.500, 0.500, 0.000)
W (0.500, 0.754, 0.316)
W (0.500, 0.754, 0.684)
O (0.000, 0.237, 0.313)
O (0.000, 0.237, 0.687)
O (0.000, 0.500, 0.000)
O (0.000, 0.763, 0.313)
O (0.000, 0.763, 0.687)
O (0.500, 0.000, 0.232)
O (0.500, 0.000, 0.768)
O (0.500, 0.193, 0.500)
O (0.500, 0.303, 0.124)
O (0.500, 0.303, 0.876)
O (0.500, 0.500, 0.349)
O (0.500, 0.500, 0.651)
O (0.500, 0.697, 0.124)
O (0.500, 0.697, 0.876)
O (0.500, 0.807, 0.500)



2.
This entry pairs a crystal structure of Pr2W2O9 with its theoretical PXRD pattern. Radiation: copper Kα. Structure: the GGA+U geometry in the Materials Project.

Peak list (8 most intense, 2θ = 5–70°, sorted by position)
2θ = 26.1°, d = 3.411 Å, I = 100, (1 0 2)
2θ = 26.6°, d = 3.348 Å, I = 84, (1 2 -2)
2θ = 27.6°, d = 3.236 Å, I = 72, (2 1 -2)
2θ = 29.2°, d = 3.059 Å, I = 53, (1 3 0)
2θ = 29.8°, d = 2.995 Å, I = 57, (2 2 0)
2θ = 37.3°, d = 2.412 Å, I = 24, (3 1 0)
2θ = 44.8°, d = 2.025 Å, I = 26, (1 4 2)
2θ = 45.0°, d = 2.013 Å, I = 34, (2 3 2)

Crystal structure
a = 7.819 Å, b = 10.065 Å, c = 9.401 Å
α = 90.00°, β = 107.61°, γ = 90.00°
Sites, in units of the cell vectors:
Pr (0.214, 0.051, 0.424)
Pr (0.214, 0.449, 0.924)
Pr (0.273, 0.054, 0.849)
Pr (0.273, 0.446, 0.349)
Pr (0.727, 0.554, 0.651)
Pr (0.727, 0.946, 0.151)
Pr (0.786, 0.551, 0.076)
Pr (0.786, 0.949, 0.576)
W (0.079, 0.732, 0.467)
W (0.079, 0.768, 0.967)
W (0.428, 0.749, 0.761)
W (0.428, 0.751, 0.261)
W (0.572, 0.249, 0.739)
W (0.572, 0.251, 0.239)
W (0.921, 0.232, 0.033)
W (0.921, 0.268, 0.533)
O (0.001, 0.599, 0.326)
O (0.001, 0.901, 0.826)
O (0.053, 0.104, 0.609)
O (0.053, 0.396, 0.109)
O (0.089, 0.209, 0.930)
O (0.089, 0.291, 0.430)
O (0.235, 0.635, 0.138)
O (0.235, 0.865, 0.638)
O (0.244, 0.686, 0.860)
O (0.244, 0.814, 0.360)
O (0.275, 0.623, 0.582)
O (0.275, 0.877, 0.082)
O (0.400, 0.218, 0.338)
O (0.400, 0.282, 0.838)
O (0.445, 0.093, 0.654)
O (0.445, 0.407, 0.154)
O (0.494, 0.120, 0.098)
O (0.494, 0.380, 0.598)
O (0.506, 0.620, 0.402)
O (0.506, 0.880, 0.902)
O (0.555, 0.593, 0.846)
O (0.555, 0.907, 0.346)
O (0.600, 0.718, 0.162)
O (0.600, 0.782, 0.662)
O (0.725, 0.123, 0.918)
O (0.725, 0.377, 0.418)
O (0.756, 0.186, 0.640)
O (0.756, 0.314, 0.140)
O (0.765, 0.135, 0.362)
O (0.765, 0.365, 0.862)
O (0.911, 0.709, 0.570)
O (0.911, 0.791, 0.070)
O (0.947, 0.604, 0.891)
O (0.947, 0.896, 0.391)
O (0.999, 0.099, 0.174)
O (0.999, 0.401, 0.674)



3.
This entry pairs a crystal structure of PrZnW2O6 with its theoretical PXRD pattern. Radiation: copper Kα. Structure: the GGA+U geometry in the Materials Project.

Peak list (8 most intense, 2θ = 5–70°, sorted by position)
2θ = 22.0°, d = 4.044 Å, I = 15, (1 1 -1)
2θ = 30.2°, d = 2.957 Å, I = 23, (0 2 0)
2θ = 31.2°, d = 2.867 Å, I = 100, (1 1 -3)
2θ = 32.3°, d = 2.771 Å, I = 23, (2 0 -2)
2θ = 44.6°, d = 2.032 Å, I = 13, (0 0 4)
2θ = 44.8°, d = 2.022 Å, I = 19, (2 2 -2)
2θ = 54.3°, d = 1.689 Å, I = 13, (1 3 1)
2θ = 56.9°, d = 1.618 Å, I = 22, (3 1 -1)

Crystal structure
a = 5.543 Å, b = 5.914 Å, c = 9.838 Å
α = 90.00°, β = 124.28°, γ = 90.00°
Sites, in units of the cell vectors:
Pr (0.000, 0.196, 0.000)
Pr (0.000, 0.804, 0.500)
Zn (0.497, 0.160, 0.494)
Zn (0.497, 0.840, 0.994)
W (0.271, 0.270, 0.748)
W (0.271, 0.730, 0.248)
W (0.775, 0.258, 0.251)
W (0.775, 0.742, 0.751)
O (0.049, 0.437, 0.201)
O (0.049, 0.563, 0.701)
O (0.158, 0.211, 0.506)
O (0.158, 0.789, 0.006)
O (0.408, 0.261, 0.995)
O (0.408, 0.739, 0.495)
O (0.511, 0.044, 0.307)
O (0.511, 0.956, 0.807)
O (0.643, 0.441, 0.809)
O (0.643, 0.559, 0.309)
O (0.900, 0.063, 0.681)
O (0.900, 0.937, 0.181)



4.
This entry pairs a crystal structure of PuVO3 with its theoretical PXRD pattern. Radiation: copper Kα. Structure: the GGA+U geometry in the Materials Project.

Peak list (8 most intense, 2θ = 5–70°, sorted by position)
2θ = 22.5°, d = 3.955 Å, I = 45, (1 0 1)
2θ = 22.9°, d = 3.885 Å, I = 28, (0 2 0)
2θ = 25.3°, d = 3.525 Å, I = 27, (1 1 1)
2θ = 32.3°, d = 2.772 Å, I = 100, (1 2 1)
2θ = 32.9°, d = 2.720 Å, I = 25, (0 0 2)
2θ = 33.2°, d = 2.701 Å, I = 19, (2 1 0)
2θ = 51.8°, d = 1.764 Å, I = 25, (3 1 1)
2θ = 58.4°, d = 1.580 Å, I = 33, (0 4 2)

Crystal structure
a = 5.761 Å, b = 7.769 Å, c = 5.440 Å
α = 90.00°, β = 90.00°, γ = 90.00°
Sites, in units of the cell vectors:
Pu (0.067, 0.250, 0.018)
Pu (0.433, 0.750, 0.518)
Pu (0.567, 0.250, 0.482)
Pu (0.933, 0.750, 0.982)
V (0.000, 0.000, 0.500)
V (0.000, 0.500, 0.500)
V (0.500, 0.000, 0.000)
V (0.500, 0.500, 0.000)
O (0.042, 0.750, 0.385)
O (0.195, 0.557, 0.809)
O (0.195, 0.943, 0.809)
O (0.305, 0.057, 0.309)
O (0.305, 0.443, 0.309)
O (0.458, 0.250, 0.885)
O (0.542, 0.750, 0.115)
O (0.695, 0.557, 0.691)
O (0.695, 0.943, 0.691)
O (0.805, 0.057, 0.191)
O (0.805, 0.443, 0.191)
O (0.958, 0.250, 0.615)